Record 1
KBS2O8: calculated PXRD pattern (CuKα), based on a structure optimized by DFT (PBE).
Kinematic intensities with the Lorentz-polarization factor, no thermal factor.

Cell and atoms:
Lattice parameters (Å, degrees): 9.2261 9.2261 7.5428 90.00 90.00 90.00
Positions (direct):
K: 0.2500 0.2500 0.0637
K: 0.2500 0.2500 0.5637
K: 0.7500 0.7500 0.4363
K: 0.7500 0.7500 0.9363
B: 0.2500 0.7500 0.0000
B: 0.2500 0.7500 0.5000
B: 0.7500 0.2500 0.0000
B: 0.7500 0.2500 0.5000
S: 0.0961 0.5961 0.2500
S: 0.0961 0.9039 0.7500
S: 0.4039 0.5961 0.7500
S: 0.4039 0.9039 0.2500
S: 0.5961 0.0961 0.7500
S: 0.5961 0.4039 0.2500
S: 0.9039 0.0961 0.2500
S: 0.9039 0.4039 0.7500
O: 0.0457 0.1240 0.3219
O: 0.0457 0.3760 0.8219
O: 0.1208 0.7170 0.3915
O: 0.1208 0.7830 0.8915
O: 0.1240 0.0457 0.8219
O: 0.1240 0.4543 0.3219
O: 0.2170 0.6208 0.1085
O: 0.2170 0.8792 0.6085
O: 0.2830 0.6208 0.6085
O: 0.2830 0.8792 0.1085
O: 0.3760 0.0457 0.3219
O: 0.3760 0.4543 0.8219
O: 0.3792 0.7170 0.8915
O: 0.3792 0.7830 0.3915
O: 0.4543 0.1240 0.8219
O: 0.4543 0.3760 0.3219
O: 0.5457 0.6240 0.6781
O: 0.5457 0.8760 0.1781
O: 0.6208 0.2170 0.6085
O: 0.6208 0.2830 0.1085
O: 0.6240 0.5457 0.1781
O: 0.6240 0.9543 0.6781
O: 0.7170 0.1208 0.8915
O: 0.7170 0.3792 0.3915
O: 0.7830 0.1208 0.3915
O: 0.7830 0.3792 0.8915
O: 0.8760 0.5457 0.6781
O: 0.8760 0.9543 0.1781
O: 0.8792 0.2170 0.1085
O: 0.8792 0.2830 0.6085
O: 0.9543 0.6240 0.1781
O: 0.9543 0.8760 0.6781

Main lines, by angle (10° ≤ 2θ ≤ 90°):
2θ/deg, I/Imax
13.57, 10
23.59, 7
24.59, 100
27.33, 12
30.63, 40
37.74, 32
43.89, 5
46.13, 11


Record 2
K3BSb4O13: calculated PXRD pattern (CuKα), based on a structure optimized by DFT (PBE).
Kinematic intensities with the Lorentz-polarization factor, no thermal factor.

Cell and atoms:
Lattice parameters (Å, degrees): 7.2331 7.3455 13.4606 82.03 80.15 63.05
Positions (direct):
K: 0.0991 0.1045 0.0584
K: 0.2943 0.2844 0.8061
K: 0.3092 0.2808 0.5310
K: 0.6908 0.7192 0.4690
K: 0.7057 0.7156 0.1939
K: 0.9009 0.8955 0.9416
B: 0.1586 0.7688 0.5233
B: 0.8414 0.2312 0.4767
Sb: 0.1624 0.7105 0.2907
Sb: 0.1683 0.2075 0.2934
Sb: 0.3174 0.8088 0.7130
Sb: 0.4203 0.4342 0.1055
Sb: 0.5797 0.5658 0.8945
Sb: 0.6826 0.1912 0.2870
Sb: 0.8317 0.7925 0.7066
Sb: 0.8376 0.2895 0.7093
O: 0.0501 0.1541 0.4360
O: 0.0624 0.4954 0.3321
O: 0.1021 0.7101 0.7611
O: 0.1387 0.1041 0.6926
O: 0.1617 0.6951 0.1389
O: 0.2279 0.6813 0.4313
O: 0.2591 0.2748 0.1493
O: 0.2699 0.9195 0.2528
O: 0.3221 0.7488 0.5722
O: 0.3248 0.8269 0.8621
O: 0.4071 0.4149 0.9611
O: 0.4474 0.1165 0.3414
O: 0.4634 0.4874 0.2490
O: 0.5366 0.5126 0.7510
O: 0.5526 0.8835 0.6586
O: 0.5929 0.5851 0.0389
O: 0.6752 0.1731 0.1379
O: 0.6779 0.2512 0.4278
O: 0.7301 0.0805 0.7472
O: 0.7409 0.7252 0.8507
O: 0.7721 0.3187 0.5687
O: 0.8383 0.3049 0.8611
O: 0.8613 0.8959 0.3074
O: 0.8979 0.2899 0.2389
O: 0.9376 0.5046 0.6679
O: 0.9499 0.8459 0.5640

Main lines, by angle (10° ≤ 2θ ≤ 90°):
2θ/deg, I/Imax
13.38, 100
14.66, 92
14.82, 35
27.32, 31
29.50, 71
29.65, 29
31.21, 59
33.88, 29


Record 3
KSi5BO13: calculated PXRD pattern (CuKα), based on a structure optimized by DFT (PBE).
Kinematic intensities with the Lorentz-polarization factor, no thermal factor.

Cell and atoms:
Lattice parameters (Å, degrees): 13.4967 4.7536 8.7451 90.00 90.00 90.00
Positions (direct):
K: 0.0000 0.0224 0.0000
K: 0.5000 0.9776 0.5000
Si: 0.0000 0.0781 0.5330
Si: 0.1991 0.6369 0.7878
Si: 0.2053 0.8627 0.4455
Si: 0.2947 0.1373 0.9455
Si: 0.3009 0.3631 0.2878
Si: 0.5000 0.9219 0.0330
Si: 0.6991 0.3631 0.2878
Si: 0.7053 0.1373 0.9455
Si: 0.7947 0.8627 0.4455
Si: 0.8009 0.6369 0.7878
B: 0.0000 0.5765 0.7148
B: 0.5000 0.4235 0.2148
O: 0.0000 0.4126 0.5722
O: 0.0000 0.4693 0.2262
O: 0.0000 0.8847 0.6862
O: 0.0885 0.5074 0.8090
O: 0.0968 0.0036 0.4260
O: 0.2098 0.9001 0.9091
O: 0.2174 0.6029 0.3255
O: 0.2270 0.7500 0.6174
O: 0.2730 0.2500 0.1174
O: 0.2826 0.3971 0.8255
O: 0.2902 0.0999 0.4091
O: 0.4032 0.9964 0.9260
O: 0.4115 0.4926 0.3090
O: 0.5000 0.1153 0.1862
O: 0.5000 0.5307 0.7262
O: 0.5000 0.5874 0.0722
O: 0.5885 0.4926 0.3090
O: 0.5968 0.9964 0.9260
O: 0.7098 0.0999 0.4091
O: 0.7174 0.3971 0.8255
O: 0.7270 0.2500 0.1174
O: 0.7730 0.7500 0.6174
O: 0.7826 0.6029 0.3255
O: 0.7902 0.9001 0.9091
O: 0.9032 0.0036 0.4260
O: 0.9115 0.5074 0.8090

Main lines, by angle (10° ≤ 2θ ≤ 90°):
2θ/deg, I/Imax
12.06, 74
20.31, 25
21.27, 23
24.25, 40
25.07, 23
26.41, 52
27.29, 39
27.72, 100